Simulated X-ray diffraction stick pattern of Li3Mo3P4O16 for λ = 1.5418 Å (Cu Kα), from a structure optimized by DFT (PBE+U).
Neutral-atom scattering factors, no anomalous dispersion.

Most intense lines, 10 to 80 degrees two-theta, in order of rising 2θ:
5.732 Å, 15.46°, rel. 100
4.359 Å, 20.38°, rel. 60
4.239 Å, 20.96°, rel. 61
3.874 Å, 22.96°, rel. 44
3.540 Å, 25.15°, rel. 55
3.034 Å, 29.44°, rel. 57
2.866 Å, 31.21°, rel. 36
2.576 Å, 34.83°, rel. 31
2.472 Å, 36.34°, rel. 41
1.764 Å, 51.82°, rel. 27

Cell and atoms:
```
52
Lattice="7.8011 0.0000 0.0000 0.0000 8.4532 0.0000 -0.3069 0.0000 10.3040" Properties=species:S:1:pos:R:3 pbc="T T T"
Li 1.0536 0.0000 0.7799
Li 0.9405 8.3330 5.9706
Li 2.3918 6.1301 6.8534
Li 5.1023 1.9035 3.4506
Li 6.5537 4.1064 4.3333
Li 6.4405 4.2266 9.5241
Mo 1.6451 3.0362 6.4187
Mo 1.8826 2.9447 1.2941
Mo 2.7221 6.1300 1.8679
Mo 4.7720 1.9033 8.4361
Mo 5.6116 7.1714 9.0099
Mo 5.8490 7.2628 3.8853
P 0.1098 1.3393 8.8749
P 0.2987 1.3735 3.7100
P 3.2078 4.7512 9.1493
P 3.4771 4.5895 4.1156
P 4.0171 0.3629 6.1884
P 4.2864 0.5246 1.1547
P 7.1955 5.6001 6.5940
P 7.3843 5.5659 1.4291
O -0.1715 4.1492 6.1853
O 0.0697 4.1448 1.0470
O 0.5477 6.5785 6.6227
O 0.7660 6.5813 1.2717
O 0.6588 1.3887 7.4329
O 0.9882 1.2999 2.2986
O 1.2217 1.7278 9.8833
O 1.3946 1.7722 4.7464
O 2.1664 4.2853 8.1310
O 2.4045 4.3043 2.9538
O 2.8299 4.7219 0.2806
O 2.7209 4.6850 5.4425
O 2.8751 7.8550 6.2026
O 3.0724 8.0188 1.0716
O 3.5497 1.8353 6.6829
O 3.8186 1.9510 1.4808
O 3.6755 6.1776 8.8232
O 3.9444 6.0619 3.6211
O 4.4218 3.7922 9.2324
O 4.6190 3.6284 4.1014
O 4.7733 0.4583 4.8615
O 4.6643 0.4952 10.0234
O 5.0896 0.0777 7.3502
O 5.3277 0.0587 2.1730
O 6.0996 5.9988 5.5576
O 6.2725 5.9544 0.4207
O 6.5060 5.5266 8.0054
O 6.8354 5.6153 2.8711
O 6.7282 2.3546 9.0323
O 6.9465 2.3519 3.6812
O 7.4244 8.3714 9.2570
O 7.6657 8.3758 4.1187
```